[1]
Starting from DFT lattice parameters and positions (PBE), the PXRD pattern of PmPr2Dy5Y was computed for CuKα.
Neutral-atom scattering factors, no anomalous dispersion.

Structural model:
```
PmPr2Dy5Y
1.0
-4.3613 4.3613 7.8671
4.3613 -4.3613 7.8671
4.3613 4.3613 -7.8671
Pm Pr Dy Y
2 4 10 2
Cartesian
0.0000 0.0000 3.9335
0.0000 0.0000 11.8006
5.3907 1.0294 0.0000
1.0294 3.3320 0.0000
3.3320 1.0294 7.8671
-1.0294 3.3320 7.8671
0.0000 0.0000 0.0000
2.5093 1.8520 -2.1944
2.5093 -1.8520 5.6726
2.5093 1.8520 2.1944
2.5093 -1.8520 10.0615
0.0000 0.0000 7.8671
1.8520 6.2134 -2.1944
1.8520 2.5093 5.6726
1.8520 6.2134 2.1944
1.8520 2.5093 10.0615
4.3613 0.0000 3.9335
0.0000 4.3613 3.9335
```

Main lines, by angle (10° ≤ 2θ ≤ 80°):
two_theta  I (rel.)
28.5  50.5
29.0  52.1
30.6  100.0
32.5  18.3
37.6  16.9
52.4  22.8
55.4  12.5
60.0  15.6



[2]
Starting from DFT lattice parameters and positions (PBE), the PXRD pattern of Cs5LiI6 was computed for CuKα.
Neutral-atom scattering factors, no anomalous dispersion.

Structural model:
```
Cs5LiI6
1.0
4.6836 -8.2104 0.0000
4.6836 8.2104 0.0000
-3.0827 0.0000 8.7740
Cs Li I
5 1 6
Cartesian
0.0000 0.0000 0.0000
3.1422 5.4308 4.3870
4.6836 2.7276 0.0000
4.6836 -2.7276 0.0000
3.1422 -5.4308 4.3870
3.1422 0.0000 4.3870
1.5853 2.6499 2.1933
0.8230 0.0000 6.0092
1.5853 -2.6499 2.1933
4.6992 2.6499 6.5807
5.4614 0.0000 2.7648
4.6992 -2.6499 6.5807
```

Main lines, by angle (10° ≤ 2θ ≤ 80°):
two_theta  I (rel.)
23.1  100.0
23.4  32.5
32.7  20.2
33.0  26.5
33.2  45.6
40.6  15.5
47.3  14.2
53.6  20.3



[3]
Starting from DFT lattice parameters and positions (PBE), the PXRD pattern of Rb14TlO was computed for CuKα.
Neutral-atom scattering factors, no anomalous dispersion.

Structural model:
```
Rb14TlO
1.0
12.3041 0.0000 0.0000
0.0000 5.8923 9.0151
0.0000 -5.8923 9.0151
Rb Tl O
14 1 1
Cartesian
0.0000 0.0000 0.0000
0.0000 0.0000 7.6175
0.0000 -2.3551 12.9176
0.0000 2.3551 12.9176
3.4478 0.0000 3.8864
3.7130 -2.6054 8.9735
3.7130 2.6054 8.9735
4.0517 0.0000 15.2245
6.1520 -2.2268 12.6081
6.1520 2.2268 12.6081
8.2524 0.0000 15.2245
8.5911 -2.6054 8.9735
8.5911 2.6054 8.9735
8.8563 0.0000 3.8864
6.1520 0.0000 0.9713
6.1520 0.0000 13.8087
```

Main lines, by angle (10° ≤ 2θ ≤ 80°):
two_theta  I (rel.)
11.5  17.7
19.7  13.6
22.0  49.1
23.1  100.0
25.9  15.8
27.4  13.5
33.7  14.9
43.8  17.1



[4]
Starting from DFT lattice parameters and positions (PBE), the PXRD pattern of FeCuRu2 was computed for CuKα.
Neutral-atom scattering factors, no anomalous dispersion.

Structural model:
```
FeCuRu2
1.0
3.6942 0.0000 0.0000
0.0000 3.6942 0.0000
0.0000 0.0000 7.6227
Fe Cu Ru
2 2 4
Cartesian
0.0000 0.0000 0.0000
1.8471 1.8471 3.8113
0.0000 1.8471 5.7170
1.8471 0.0000 1.9057
0.0000 0.0000 3.8113
0.0000 1.8471 1.9057
1.8471 0.0000 5.7170
1.8471 1.8471 0.0000
```

Main lines, by angle (10° ≤ 2θ ≤ 80°):
two_theta  I (rel.)
26.8  9.3
41.9  100.0
43.2  2.6
47.7  17.0
49.3  30.6
57.0  2.4
71.1  19.4
72.3  9.2



[5]
Starting from DFT lattice parameters and positions (PBE), the PXRD pattern of Ag2Hg2Pd7 was computed for CuKα.
Neutral-atom scattering factors, no anomalous dispersion.

Structural model:
```
Ag2Hg2Pd7
1.0
-1.9510 6.0142 4.1401
1.9510 -6.0142 4.1401
1.9510 6.0142 -4.1401
Ag Hg Pd
2 2 7
Cartesian
0.0000 0.0000 0.0000
0.0000 6.0142 2.1020
1.9510 -1.8576 4.1148
1.9510 1.8576 4.1148
1.9510 4.0211 -2.1066
1.9510 2.0523 -0.0105
1.9510 0.0000 2.0236
0.0000 1.9931 2.0335
1.9510 3.9696 2.0802
0.0000 3.9619 4.1296
0.0000 2.0446 6.2203
```

Main lines, by angle (10° ≤ 2θ ≤ 80°):
two_theta  I (rel.)
38.9  100.0
43.7  18.1
45.2  15.4
46.5  15.1
64.7  10.3
65.8  10.5
77.1  13.1
79.2  10.7



[6]
Starting from DFT lattice parameters and positions (PBE), the PXRD pattern of Ca3Ru2O7 was computed for CuKα.
Neutral-atom scattering factors, no anomalous dispersion.

Structural model:
```
Ca3Ru2O7
1.0
9.8025 -2.7151 0.0000
9.8025 2.7151 0.0000
0.0000 0.0000 5.6372
Ca Ru O
6 4 14
Cartesian
6.1038 1.3972 3.5034
9.8025 1.4538 2.8186
13.5011 1.3972 3.5034
6.1038 -1.3972 0.6848
9.8025 -1.4538 0.0000
13.5011 -1.3972 0.6848
7.8595 1.3437 0.3493
11.7455 1.3437 0.3493
7.8595 -1.3437 3.1679
11.7455 -1.3437 3.1679
3.9030 0.9462 3.0290
1.5635 0.2916 1.4725
1.5635 -0.2916 4.2912
7.4706 0.2768 2.0107
9.8025 0.8498 0.4837
3.9030 -0.9462 0.2103
7.4706 -0.2768 4.8293
12.1343 0.2768 2.0107
15.7019 0.9462 3.0290
9.8025 -0.8498 3.3023
12.1343 -0.2768 4.8293
18.0415 0.2916 1.4725
18.0415 -0.2916 4.2912
15.7019 -0.9462 0.2103
```

Main lines, by angle (10° ≤ 2θ ≤ 80°):
two_theta  I (rel.)
18.1  29.1
23.2  44.2
31.7  30.7
32.3  100.0
33.0  31.9
46.3  17.5
46.4  31.1
58.5  24.7